Simulated powder diffraction line list
Compound: Ba4CeRu3O12
Radiation: CuKα
Structure: a crystal structure in Alexandria, relaxed with GGA-PBE
Peak positions follow from Bragg's law for the DFT cell and can differ from measured ones.

Top 10 peaks for 5° ≤ 2θ ≤ 70°, most intense first:
2θ (°), d [Å], I/Imax
30.00, 2.978, 100
27.50, 3.244, 42
40.49, 2.228, 23
26.56, 3.356, 21
53.27, 1.720, 20
62.35, 1.489, 18
29.28, 3.050, 13
41.80, 2.161, 12
45.81, 1.981, 12
56.74, 1.622, 10

```
Ba4CeRu3O12
1.0
5.164 -2.979 0.000
5.164 2.979 0.000
-3.898 0.000 9.915
Ba Ce Ru O
4 1 3 12
direct
0.130 0.130 0.391
0.277 0.277 0.851
0.723 0.723 0.149
0.870 0.870 0.609
0.000 0.000 0.000
0.425 0.425 0.242
0.500 0.500 0.500
0.575 0.575 0.758
0.152 0.614 0.365
0.231 0.231 0.108
0.240 0.719 0.141
0.281 0.760 0.859
0.378 0.378 0.613
0.386 0.848 0.635
0.614 0.152 0.365
0.622 0.622 0.387
0.719 0.240 0.141
0.760 0.281 0.859
0.769 0.769 0.892
0.848 0.386 0.635
```